No. 1
Computed powder diffractogram
Compound: PrHoCoI
Radiation: Cu Ka
Structure: a structure optimized by DFT (GGA-PBE)
Lines closer than 0.1° are merged.

Principal peaks in the range 10° ≤ 2θ ≤ 90°, sorted by position:
2θ (°), I (rel.)
11.00, 11
25.98, 19
26.77, 15
29.74, 47
31.80, 100
33.42, 18
45.34, 45
45.83, 20
56.44, 19
57.48, 24
75.18, 16
87.63, 11

Atomic structure:
a b c (Å): 8.368 8.368 8.368
angles (deg): 27.66 27.66 27.66
Fractional positions:
Pr1 0.000 0.000 0.000
Ho1 0.213 0.213 0.213
Co1 0.604 0.604 0.604
I1 0.778 0.778 0.778

---

No. 2
Computed powder diffractogram
Compound: HoThCoI
Radiation: Cu Ka
Structure: a structure optimized by DFT (GGA-PBE)
Lines closer than 0.1° are merged.

Principal peaks in the range 10° ≤ 2θ ≤ 90°, sorted by position:
2θ (°), I (rel.)
11.01, 25
25.85, 23
26.64, 22
29.62, 69
31.69, 100
33.45, 24
39.54, 20
44.99, 17
45.13, 34
45.77, 14
56.15, 33
57.25, 21

Atomic structure:
a b c (Å): 4.018 4.018 8.368
angles (deg): 103.92 103.92 60.20
Fractional positions:
Ho1 0.000 0.000 0.000
Th1 0.219 0.219 0.654
Co1 0.605 0.605 0.815
I1 0.772 0.772 0.315

---

No. 3
Computed powder diffractogram
Compound: Ho7In2Co2
Radiation: Cu Ka
Structure: a structure optimized by DFT (GGA-PBE)
Lines closer than 0.1° are merged.

Principal peaks in the range 10° ≤ 2θ ≤ 90°, sorted by position:
2θ (°), I (rel.)
28.83, 35
29.96, 21
31.46, 49
31.90, 100
32.99, 34
34.64, 86
35.20, 44
37.25, 19
50.35, 19
51.19, 22
58.19, 20
61.59, 30

Atomic structure:
a b c (Å): 9.680 9.680 9.680
angles (deg): 158.75 65.39 118.97
Fractional positions:
Ho1 0.000 0.000 0.000
Ho2 0.304 0.441 0.863
Ho3 0.312 0.631 0.681
Ho4 0.578 0.441 0.137
Ho5 0.628 0.282 0.346
Ho6 0.936 0.282 0.654
Ho7 0.950 0.631 0.319
In1 0.268 0.768 0.500
In2 0.675 0.675 0.000
Co1 0.177 0.939 0.238
Co2 0.702 0.939 0.762

---

No. 4
Computed powder diffractogram
Compound: Ho3In4Co2
Radiation: Cu Ka
Structure: a structure optimized by DFT (GGA-PBE)
Lines closer than 0.1° are merged.

Principal peaks in the range 10° ≤ 2θ ≤ 90°, sorted by position:
2θ (°), I (rel.)
33.79, 100
36.21, 29
38.47, 21
42.73, 22
52.14, 13
53.86, 5
57.20, 6
58.84, 9
63.58, 32
66.64, 11
75.39, 6
81.06, 10

Atomic structure:
a b c (Å): 8.106 8.106 3.507
angles (deg): 90.00 90.00 120.00
Fractional positions:
Ho1 0.081 0.408 0.000
Ho2 0.327 0.919 0.000
Ho3 0.592 0.673 0.000
In1 0.000 0.000 0.000
In2 0.379 0.296 0.500
In3 0.704 0.083 0.500
In4 0.917 0.621 0.500
Co1 0.333 0.667 0.500
Co2 0.667 0.333 0.000

---

No. 5
Computed powder diffractogram
Compound: Ho2CoP4Ir3
Radiation: Cu Ka
Structure: a structure optimized by DFT (GGA-PBE)
Lines closer than 0.1° are merged.

Principal peaks in the range 10° ≤ 2θ ≤ 90°, sorted by position:
2θ (°), I (rel.)
28.86, 42
30.76, 34
32.24, 55
36.04, 100
36.34, 80
44.06, 73
53.58, 41
58.18, 51
64.07, 24
67.98, 18
71.82, 24
75.95, 19

Atomic structure:
a b c (Å): 4.111 4.111 9.399
angles (deg): 90.00 90.00 90.00
Fractional positions:
Ho1 0.000 0.500 0.247
Ho2 0.500 0.000 0.753
Co1 0.000 0.000 0.500
P1 0.000 0.000 0.000
P2 0.000 0.500 0.632
P3 0.500 0.000 0.368
P4 0.500 0.500 0.000
Ir1 0.000 0.500 0.882
Ir2 0.500 0.000 0.118
Ir3 0.500 0.500 0.500

---

No. 6
Computed powder diffractogram
Compound: LaHo2Co9
Radiation: Cu Ka
Structure: a structure optimized by DFT (GGA-PBE)
Lines closer than 0.1° are merged.

Principal peaks in the range 10° ≤ 2θ ≤ 90°, sorted by position:
2θ (°), I (rel.)
33.00, 48
35.74, 57
36.05, 41
41.68, 39
42.33, 100
44.22, 14
45.69, 16
46.06, 15
62.49, 16
68.74, 22
68.95, 14
75.72, 22

Atomic structure:
a b c (Å): 8.608 8.608 8.608
angles (deg): 33.94 33.94 33.94
Fractional positions:
La1 0.000 0.000 0.000
Ho1 0.140 0.140 0.140
Ho2 0.860 0.860 0.860
Co1 0.079 0.585 0.585
Co2 0.335 0.335 0.335
Co3 0.415 0.415 0.921
Co4 0.415 0.921 0.415
Co5 0.500 0.500 0.500
Co6 0.585 0.079 0.585
Co7 0.585 0.585 0.079
Co8 0.665 0.665 0.665
Co9 0.921 0.415 0.415

---

No. 7
Computed powder diffractogram
Compound: LaHoCo2
Radiation: Cu Ka
Structure: a structure optimized by DFT (GGA-PBE)
Lines closer than 0.1° are merged.

Principal peaks in the range 10° ≤ 2θ ≤ 90°, sorted by position:
2θ (°), I (rel.)
12.93, 2
26.08, 21
37.21, 100
46.01, 7
53.56, 6
53.69, 11
60.57, 6
60.65, 3
67.10, 34
79.27, 7
79.38, 4
85.20, 4

Atomic structure:
a b c (Å): 3.414 3.414 6.845
angles (deg): 90.00 90.00 90.00
Fractional positions:
La1 0.000 0.000 0.000
Ho1 0.000 0.000 0.500
Co1 0.500 0.500 0.265
Co2 0.500 0.500 0.735

---

No. 8
Computed powder diffractogram
Compound: LaHoCo2
Radiation: Cu Ka
Structure: a structure optimized by DFT (GGA-PBE)
Lines closer than 0.1° are merged.

Principal peaks in the range 10° ≤ 2θ ≤ 90°, sorted by position:
2θ (°), I (rel.)
27.70, 36
28.19, 34
30.13, 95
32.90, 96
33.50, 100
36.56, 74
38.87, 68
40.92, 80
46.59, 42
53.77, 30
58.59, 40
62.23, 33

Atomic structure:
a b c (Å): 3.899 5.714 7.604
angles (deg): 90.00 90.00 90.00
Fractional positions:
La1 0.000 0.128 0.000
La2 0.000 0.872 0.500
Ho1 0.500 0.374 0.358
Ho2 0.500 0.626 0.858
Co1 0.000 0.367 0.644
Co2 0.000 0.633 0.144
Co3 0.500 0.169 0.703
Co4 0.500 0.831 0.203